Entry 1:
# DyTmTlC
Computed X-ray diffraction stick pattern, λ = 1.5418 Å (Cu Kα). Input: a structure optimized by DFT (GGA-PBE).

Top 10 peaks for 2θ from 10° to 90°, in order of rising 2θ:
h k l	2θ (°)	I/Imax
1 0 0	28.76	18
0 0 6	33.28	100
0 1 6	44.49	13
1 1 0	50.96	17
1 0 9	59.39	16
2 0 0	59.56	2
1 1 6	62.21	32
2 0 6	69.93	3
0 2 9	82.00	6
2 1 3	84.51	12

Structural model:
```
data_DyTmTlC
_cell_length_a 3.5843
_cell_length_b 3.5843
_cell_length_c 16.1865
_cell_angle_alpha 90.00
_cell_angle_beta 90.00
_cell_angle_gamma 120.00
_symmetry_space_group_name_H-M 'P -3 m 1'
_symmetry_Int_Tables_number 164
_symmetry_space_group_name_Hall '-P 3 2"'
loop_
_atom_site_label
_atom_site_fract_x
_atom_site_fract_y
_atom_site_fract_z
Dy1 0.3333 0.6667 0.0840
Tm1 0.3333 0.6667 0.4185
Tl1 0.3333 0.6667 0.7478
C1 0.0000 0.0000 0.0000
C2 0.0000 0.0000 0.5000
```

Entry 2:
# DyZrTlC
Computed X-ray diffraction stick pattern, λ = 1.5418 Å (Cu Kα). Input: a structure optimized by DFT (GGA-PBE).

Top 10 peaks for 2θ from 10° to 90°, in order of rising 2θ:
h k l	2θ (°)	I/Imax
0 0 2	11.24	7
1 0 0	29.67	22
0 0 6	34.18	21
1 0 3	34.34	100
1 0 6	45.88	16
1 1 0	52.65	21
1 0 9	61.30	19
1 1 6	64.33	37
2 0 9	85.02	8
2 1 3	87.77	14

Structural model:
```
data_DyZrTlC
_cell_length_a 3.4766
_cell_length_b 3.4766
_cell_length_c 15.7387
_cell_angle_alpha 90.00
_cell_angle_beta 90.00
_cell_angle_gamma 120.00
_symmetry_space_group_name_H-M 'P 63 m c'
_symmetry_Int_Tables_number 186
_symmetry_space_group_name_Hall 'P 6c -2c'
loop_
_atom_site_label
_atom_site_fract_x
_atom_site_fract_y
_atom_site_fract_z
Dy1 0.3333 0.6667 0.0000
Zr1 0.3333 0.6667 0.6662
Tl1 0.3333 0.6667 0.3293
C1 0.0000 0.0000 0.0943
```

Entry 3:
# DyZrTlC
Computed X-ray diffraction stick pattern, λ = 1.5418 Å (Cu Kα). Input: a structure optimized by DFT (GGA-PBE).

Top 10 peaks for 2θ from 10° to 90°, in order of rising 2θ:
h k l	2θ (°)	I/Imax
1 0 0	29.67	24
0 0 6	34.22	21
1 0 3	34.35	100
1 0 6	45.91	16
1 1 0	52.66	21
1 0 9	61.36	18
1 1 6	64.35	37
2 0 6	72.40	4
2 0 9	85.07	7
2 1 3	87.78	14

Structural model:
```
data_DyZrTlC
_cell_length_a 3.4764
_cell_length_b 3.4764
_cell_length_c 15.7221
_cell_angle_alpha 90.00
_cell_angle_beta 90.00
_cell_angle_gamma 120.00
_symmetry_space_group_name_H-M 'P -6 m 2'
_symmetry_Int_Tables_number 187
_symmetry_space_group_name_Hall 'P -6 2'
loop_
_atom_site_label
_atom_site_fract_x
_atom_site_fract_y
_atom_site_fract_z
Dy1 0.0000 0.0000 0.1727
Zr1 0.6667 0.3333 0.3389
Tl1 0.0000 0.0000 0.5000
Tl2 0.6667 0.3333 0.0000
C1 0.3333 0.6667 0.2666
```

Entry 4:
# DyTm2WC3
Computed X-ray diffraction stick pattern, λ = 1.5418 Å (Cu Kα). Input: a structure optimized by DFT (GGA-PBE).

Top 10 peaks for 2θ from 10° to 90°, in order of rising 2θ:
h k l	2θ (°)	I/Imax
1 1 -1	31.12	64
4 0 0	31.65	84
0 0 2	33.27	83
1 1 1	34.37	98
3 1 -1	35.67	100
4 0 -2	35.90	62
3 1 1	43.91	46
3 1 -3	54.79	41
0 2 0	55.64	42
7 1 -1	59.87	24

Structural model:
```
data_DyTm2WC3
_cell_length_a 12.2974
_cell_length_b 3.3026
_cell_length_c 5.8564
_cell_angle_alpha 90.00
_cell_angle_beta 113.13
_cell_angle_gamma 90.00
_symmetry_space_group_name_H-M 'C 1 m 1'
_symmetry_Int_Tables_number 8
loop_
_symmetry_equiv_pos_as_xyz
'x,y,z'
'x,-y,z'
'x+1/2,y+1/2,z'
'x+1/2,-y+1/2,z'
loop_
_atom_site_label
_atom_site_fract_x
_atom_site_fract_y
_atom_site_fract_z
Dy1 0.0000 0.0000 0.0000
Tm1 0.0223 0.5000 0.4942
Tm2 0.2617 0.0000 0.5415
W1 0.2364 0.5000 0.0223
C1 0.1345 0.0000 0.7721
C2 0.1521 0.5000 0.2611
C3 0.3542 0.0000 0.0440
```

Entry 5:
# Er4C3
Computed X-ray diffraction stick pattern, λ = 1.5418 Å (Cu Kα). Input: a structure optimized by DFT (GGA-PBE).

Top 10 peaks for 2θ from 10° to 90°, in order of rising 2θ:
h k l	2θ (°)	I/Imax
2 1 1	28.15	37
2 2 0	32.62	100
3 1 0	36.60	73
3 2 1	43.62	31
3 3 2	55.51	23
4 2 2	58.21	13
4 3 1	60.83	46
5 2 1	65.89	27
5 4 1	80.10	14
7 1 0	89.19	11

Structural model:
```
data_Er4C3
_cell_length_a 7.7642
_cell_length_b 7.7642
_cell_length_c 7.7642
_cell_angle_alpha 90.00
_cell_angle_beta 90.00
_cell_angle_gamma 90.00
_symmetry_space_group_name_H-M 'I -4 3 d'
_symmetry_Int_Tables_number 220
_symmetry_space_group_name_Hall 'I -4bd 2c 3'
loop_
_atom_site_label
_atom_site_fract_x
_atom_site_fract_y
_atom_site_fract_z
Er1 0.0462 0.0462 0.0462
C1 0.0000 0.2500 0.3750
```